1.
Structure and calculated X-ray powder pattern of SmMgAlIn (the PBE geometry in Alexandria; Cu Ka).
Intensities are scaled so that the largest is 100.

Crystal structure
Cell lengths 4.488, 4.510, 4.631 Å; angles 90.00, 90.00, 90.00 degrees
Positions (direct):
Sm1 0.000 0.000 0.000
Mg1 0.000 0.500 0.500
Al1 0.500 0.500 0.000
In1 0.500 0.000 0.500

Most intense lines, 5° ≤ 2θ ≤ 70°, most intense first:
two_theta	I/Imax
34.20	100
19.69	45
27.68	39
38.89	17
39.98	16
40.19	16
49.32	16
67.43	13
68.93	13
69.21	12

---

2.
Structure and calculated X-ray powder pattern of Tm3In4Co2 (the PBE geometry in Alexandria; Cu Ka).
Intensities are scaled so that the largest is 100.

Crystal structure
Cell lengths 7.870, 7.870, 3.548 Å; angles 90.00, 90.00, 120.00 degrees
Positions (direct):
Tm1 0.087 0.710 0.000
Tm2 0.290 0.378 0.000
Tm3 0.622 0.913 0.000
In1 0.000 0.000 0.500
In2 0.409 0.080 0.500
In3 0.671 0.591 0.500
In4 0.920 0.329 0.500
Co1 0.333 0.667 0.500
Co2 0.667 0.333 0.000

Most intense lines, 5° ≤ 2θ ≤ 70°, most intense first:
two_theta	I/Imax
34.02	100
34.82	69
36.56	56
39.67	31
65.20	29
43.41	26
63.69	23
51.51	16
55.04	15
66.92	13

---

3.
Structure and calculated X-ray powder pattern of Nd7Ho2Mg2 (the PBE geometry in Alexandria; Cu Ka).
Intensities are scaled so that the largest is 100.

Crystal structure
Cell lengths 10.482, 10.482, 10.482 Å; angles 159.10, 114.29, 69.79 degrees
Positions (direct):
Nd1 0.000 0.000 0.000
Nd2 0.070 0.837 0.232
Nd3 0.321 0.321 0.000
Nd4 0.395 0.163 0.232
Nd5 0.605 0.837 0.768
Nd6 0.679 0.679 0.000
Nd7 0.930 0.163 0.768
Ho1 0.302 0.500 0.802
Ho2 0.698 0.500 0.198
Mg1 0.162 0.662 0.500
Mg2 0.838 0.338 0.500

Most intense lines, 5° ≤ 2θ ≤ 70°, most intense first:
two_theta	I/Imax
32.34	100
28.21	36
31.21	29
31.46	19
56.26	18
24.69	18
44.91	13
57.09	11
46.52	11
47.84	10

---

4.
Structure and calculated X-ray powder pattern of Dy6YSc2 (the PBE geometry in Alexandria; Cu Ka).
Intensities are scaled so that the largest is 100.

Crystal structure
Cell lengths 11.654, 11.654, 11.654 Å; angles 152.69, 131.84, 56.25 degrees
Positions (direct):
Dy1 0.003 0.343 0.673
Dy2 0.080 0.080 0.000
Dy3 0.170 0.843 0.340
Dy4 0.330 0.670 0.673
Dy5 0.420 0.420 0.000
Dy6 0.497 0.170 0.340
Dy7 0.503 0.830 0.660
Dy8 0.580 0.580 0.000
Dy9 0.670 0.330 0.327
Dy10 0.830 0.157 0.660
Dy11 0.920 0.920 0.000
Dy12 0.997 0.657 0.327
Y1 0.250 0.250 0.000
Y2 0.750 0.750 0.000
Sc1 0.167 0.495 0.661
Sc2 0.333 0.995 0.328
Sc3 0.667 0.005 0.672
Sc4 0.833 0.505 0.339

Most intense lines, 5° ≤ 2θ ≤ 70°, most intense first:
two_theta	I/Imax
32.58	100
32.19	94
57.89	35
46.46	34
64.05	27
58.14	19
20.56	16
17.26	12
37.10	11
8.60	8

---

5.
Structure and calculated X-ray powder pattern of RbPbF2 (the PBE geometry in Alexandria; Cu Ka).
Intensities are scaled so that the largest is 100.

Crystal structure
Cell lengths 7.009, 7.009, 8.268 Å; angles 90.00, 90.00, 90.00 degrees
Positions (direct):
Rb1 0.000 0.000 0.000
Rb2 0.000 0.500 0.250
Rb3 0.500 0.000 0.750
Rb4 0.500 0.500 0.500
Pb1 0.000 0.000 0.500
Pb2 0.000 0.500 0.750
Pb3 0.500 0.000 0.250
Pb4 0.500 0.500 0.000
F1 0.227 0.250 0.625
F2 0.250 0.727 0.875
F3 0.250 0.773 0.375
F4 0.273 0.250 0.125
F5 0.727 0.750 0.125
F6 0.750 0.227 0.375
F7 0.750 0.273 0.875
F8 0.773 0.750 0.625

Most intense lines, 5° ≤ 2θ ≤ 70°, most intense first:
two_theta	I/Imax
28.11	100
46.49	51
25.42	46
36.25	32
16.58	28
51.31	26
58.10	12
30.50	12
60.33	12
43.77	11

---

6.
Structure and calculated X-ray powder pattern of Pm3Pr5Sn3 (the PBE geometry in Alexandria; Cu Ka).
Intensities are scaled so that the largest is 100.

Crystal structure
Cell lengths 11.045, 11.045, 3.540 Å; angles 90.00, 90.00, 120.00 degrees
Positions (direct):
Pm1 0.000 0.462 0.000
Pm2 0.462 0.000 0.000
Pm3 0.538 0.538 0.000
Pr1 0.000 0.175 0.000
Pr2 0.175 0.000 0.000
Pr3 0.333 0.667 0.000
Pr4 0.667 0.333 0.000
Pr5 0.825 0.825 0.000
Sn1 0.000 0.696 0.500
Sn2 0.304 0.304 0.500
Sn3 0.696 0.000 0.500

Most intense lines, 5° ≤ 2θ ≤ 70°, most intense first:
two_theta	I/Imax
29.98	100
42.58	75
24.62	75
33.79	68
35.49	58
32.42	40
25.15	35
41.47	31
64.88	26
63.14	22